The following is a calculated PXRD pattern of Sm4Ho15Tm. It was derived from the GGA-PBE geometry in Alexandria, using λ = 1.5418 Å (Cu Kα).
No peak broadening, texture or thermal motion is included.

Top 8 peaks for 10 to 90 degrees two-theta, sorted by position:
two_theta, intensity
30.9, 100
35.9, 51
51.6, 36
61.4, 43
64.4, 12
84.3, 18
87.0, 6
87.0, 11

Atomic structure:
```
data_Sm4Ho15Tm
_chemical_formula_sum 'Sm4 Ho15 Tm1'
_cell_length_a 5.0106
_cell_length_b 5.0106
_cell_length_c 25.0183
_cell_angle_alpha 90.00
_cell_angle_beta 90.00
_cell_angle_gamma 90.00
_space_group_name_H-M_alt 'P 1'
_space_group_IT_number 1
loop_
_space_group_symop_operation_xyz
'x,y,z'
loop_
_atom_site_label
_atom_site_type_symbol
_atom_site_fract_x
_atom_site_fract_y
_atom_site_fract_z
Sm1 Sm 0.0000 0.0000 0.1004
Sm2 Sm 0.0000 0.0000 0.3008
Sm3 Sm 0.0000 0.0000 0.6992
Sm4 Sm 0.0000 0.0000 0.8996
Ho1 Ho 0.0000 0.5000 0.0000
Ho2 Ho 0.0000 0.5000 0.2007
Ho3 Ho 0.0000 0.5000 0.4015
Ho4 Ho 0.0000 0.5000 0.5985
Ho5 Ho 0.0000 0.5000 0.7993
Ho6 Ho 0.5000 0.0000 0.0000
Ho7 Ho 0.5000 0.0000 0.2007
Ho8 Ho 0.5000 0.0000 0.4015
Ho9 Ho 0.5000 0.0000 0.5985
Ho10 Ho 0.5000 0.0000 0.7993
Ho11 Ho 0.5000 0.5000 0.1003
Ho12 Ho 0.5000 0.5000 0.3012
Ho13 Ho 0.5000 0.5000 0.5000
Ho14 Ho 0.5000 0.5000 0.6988
Ho15 Ho 0.5000 0.5000 0.8997
Tm1 Tm 0.0000 0.0000 0.5000
```

The following is a calculated PXRD pattern of Rb2Sn3Au6. It was derived from the GGA-PBE geometry in Alexandria, using λ = 1.5418 Å (Cu Kα).
No peak broadening, texture or thermal motion is included.

Top 8 peaks for 10 to 90 degrees two-theta, sorted by position:
two_theta, intensity
12.3, 25
27.5, 100
32.9, 72
34.6, 49
37.5, 31
41.5, 39
48.5, 49
61.7, 27

Atomic structure:
```
data_Rb2Sn3Au6
_chemical_formula_sum 'Rb2 Sn3 Au6'
_cell_length_a 8.3076
_cell_length_b 8.3076
_cell_length_c 5.1824
_cell_angle_alpha 90.00
_cell_angle_beta 90.00
_cell_angle_gamma 120.00
_space_group_name_H-M_alt 'P 1'
_space_group_IT_number 1
loop_
_space_group_symop_operation_xyz
'x,y,z'
loop_
_atom_site_label
_atom_site_type_symbol
_atom_site_fract_x
_atom_site_fract_y
_atom_site_fract_z
Rb1 Rb 0.3333 0.6667 0.0000
Rb2 Rb 0.6667 0.3333 0.0000
Sn1 Sn 0.0000 0.3009 0.5000
Sn2 Sn 0.3009 0.0000 0.5000
Sn3 Sn 0.6991 0.6991 0.5000
Au1 Au 0.0000 0.1984 0.0000
Au2 Au 0.0000 0.6326 0.5000
Au3 Au 0.1984 0.0000 0.0000
Au4 Au 0.3674 0.3674 0.5000
Au5 Au 0.6326 0.0000 0.5000
Au6 Au 0.8016 0.8016 0.0000
```

The following is a calculated PXRD pattern of Li2HoCd7. It was derived from the GGA-PBE geometry in Alexandria, using λ = 1.5418 Å (Cu Kα).
No peak broadening, texture or thermal motion is included.

Top 8 peaks for 10 to 90 degrees two-theta, sorted by position:
two_theta, intensity
26.9, 26
32.8, 97
36.8, 100
39.9, 28
50.1, 29
63.8, 27
66.3, 17
87.5, 12

Atomic structure:
```
data_Li2HoCd7
_chemical_formula_sum 'Li2 Ho1 Cd7'
_cell_length_a 4.8850
_cell_length_b 4.8850
_cell_length_c 10.6995
_cell_angle_alpha 90.00
_cell_angle_beta 90.00
_cell_angle_gamma 120.00
_space_group_name_H-M_alt 'P 1'
_space_group_IT_number 1
loop_
_space_group_symop_operation_xyz
'x,y,z'
loop_
_atom_site_label
_atom_site_type_symbol
_atom_site_fract_x
_atom_site_fract_y
_atom_site_fract_z
Li1 Li 0.0000 0.0000 0.0000
Li2 Li 0.3333 0.6667 0.8324
Ho1 Ho 0.6667 0.3333 0.3198
Cd1 Cd 0.0000 0.0000 0.2274
Cd2 Cd 0.0000 0.0000 0.4975
Cd3 Cd 0.0000 0.0000 0.7624
Cd4 Cd 0.3333 0.6667 0.1193
Cd5 Cd 0.3333 0.6667 0.4678
Cd6 Cd 0.6667 0.3333 0.6389
Cd7 Cd 0.6667 0.3333 0.9459
```

The following is a calculated PXRD pattern of Y2TmAu3. It was derived from the GGA-PBE geometry in Alexandria, using λ = 1.5418 Å (Cu Kα).
No peak broadening, texture or thermal motion is included.

Top 8 peaks for 10 to 90 degrees two-theta, sorted by position:
two_theta, intensity
35.3, 100
35.6, 49
50.3, 9
51.2, 18
63.1, 18
63.7, 36
74.6, 11
86.2, 8

Atomic structure:
```
data_Y2TmAu3
_chemical_formula_sum 'Y2 Tm1 Au3'
_cell_length_a 3.5681
_cell_length_b 3.5681
_cell_length_c 10.8808
_cell_angle_alpha 90.00
_cell_angle_beta 90.00
_cell_angle_gamma 90.00
_space_group_name_H-M_alt 'P 1'
_space_group_IT_number 1
loop_
_space_group_symop_operation_xyz
'x,y,z'
loop_
_atom_site_label
_atom_site_type_symbol
_atom_site_fract_x
_atom_site_fract_y
_atom_site_fract_z
Y1 Y 0.0000 0.0000 0.1684
Y2 Y 0.0000 0.0000 0.8316
Tm1 Tm 0.0000 0.0000 0.5000
Au1 Au 0.5000 0.5000 0.0000
Au2 Au 0.5000 0.5000 0.3395
Au3 Au 0.5000 0.5000 0.6605
```

The following is a calculated PXRD pattern of Al2Si2H4O9. It was derived from the GGA-PBE geometry in Alexandria, using λ = 1.5418 Å (Cu Kα).
No peak broadening, texture or thermal motion is included.

Top 8 peaks for 10 to 90 degrees two-theta, sorted by position:
two_theta, intensity
12.1, 92
19.6, 26
20.5, 19
20.7, 100
24.4, 59
27.0, 26
36.5, 37
36.8, 25

Atomic structure:
```
data_Al2Si2H4O9
_chemical_formula_sum 'Al4 Si4 H8 O18'
_cell_length_a 5.2184
_cell_length_b 5.2184
_cell_length_c 14.5751
_cell_angle_alpha 90.61
_cell_angle_beta 90.61
_cell_angle_gamma 119.95
_space_group_name_H-M_alt 'P 1'
_space_group_IT_number 1
loop_
_space_group_symop_operation_xyz
'x,y,z'
loop_
_atom_site_label
_atom_site_type_symbol
_atom_site_fract_x
_atom_site_fract_y
_atom_site_fract_z
Al1 Al 0.0277 0.9723 0.5000
Al2 Al 0.3585 0.6305 0.5008
Al3 Al 0.6305 0.3585 0.0008
Al4 Al 0.9723 0.0277 0.0000
Si1 Si 0.3113 0.9463 0.3107
Si2 Si 0.6320 0.6531 0.8104
Si3 Si 0.6531 0.6320 0.3104
Si4 Si 0.9463 0.3113 0.8107
H1 H 0.0345 0.6451 0.6285
H2 H 0.2987 0.8805 0.9229
H3 H 0.3012 0.4855 0.0955
H4 H 0.4855 0.3012 0.5955
H5 H 0.6451 0.0345 0.1285
H6 H 0.7108 0.9484 0.6312
H7 H 0.8805 0.2987 0.4229
H8 H 0.9484 0.7108 0.1312
O1 O 0.0661 0.2976 0.4278
O2 O 0.0809 0.6905 0.5644
O3 O 0.2872 0.5107 0.7792
O4 O 0.2955 0.9106 0.4215
O5 O 0.2976 0.0661 0.9278
O6 O 0.3042 0.3189 0.0666
O7 O 0.3189 0.3042 0.5666
O8 O 0.4621 0.7683 0.2625
O9 O 0.5107 0.2872 0.2792
O10 O 0.6807 0.6825 0.4211
O11 O 0.6825 0.6807 0.9211
O12 O 0.6905 0.0809 0.0644
O13 O 0.6966 0.9218 0.5646
O14 O 0.7683 0.4621 0.7625
O15 O 0.8049 0.9806 0.7633
O16 O 0.9106 0.2955 0.9215
O17 O 0.9218 0.6966 0.0646
O18 O 0.9806 0.8049 0.2633
```

The following is a calculated PXRD pattern of SnPbS4. It was derived from the GGA-PBE geometry in Alexandria, using λ = 1.5418 Å (Cu Kα).
No peak broadening, texture or thermal motion is included.

Top 8 peaks for 10 to 90 degrees two-theta, sorted by position:
two_theta, intensity
13.7, 100
27.2, 12
27.3, 23
30.7, 81
39.2, 63
48.2, 15
50.3, 16
50.8, 26

Atomic structure:
```
data_SnPbS4
_chemical_formula_sum 'Sn1 Pb1 S4'
_cell_length_a 7.4778
_cell_length_b 7.4778
_cell_length_c 6.5503
_cell_angle_alpha 115.94
_cell_angle_beta 115.94
_cell_angle_gamma 29.15
_space_group_name_H-M_alt 'P 1'
_space_group_IT_number 1
loop_
_space_group_symop_operation_xyz
'x,y,z'
loop_
_atom_site_label
_atom_site_type_symbol
_atom_site_fract_x
_atom_site_fract_y
_atom_site_fract_z
Sn1 Sn 0.0000 0.0000 0.0000
Pb1 Pb 0.5000 0.5000 0.5000
S1 S 0.1183 0.1183 0.7969
S2 S 0.3839 0.3839 0.7277
S3 S 0.6161 0.6161 0.2723
S4 S 0.8817 0.8817 0.2031
```